Computed X-ray diffraction stick pattern
Compound: CaGaBiB2O7
Radiation: λ = 1.5418 Å (Cu Kα)
Structure: DFT lattice parameters and positions (PBE)
Intensities are scaled so that the largest is 100.

Cell and atoms:
```
CaGaBiB2O7
1.0
7.7215 0.0000 0.0000
0.0000 7.7215 0.0000
0.0000 0.0000 10.8485
Ca Ga Bi B O
4 4 4 8 28
direct
0.1748 0.3252 0.2106
0.3252 0.8252 0.7894
0.6748 0.1748 0.7894
0.8252 0.6748 0.2106
0.0000 0.0000 0.0000
0.0000 0.0000 0.5000
0.5000 0.5000 0.0000
0.5000 0.5000 0.5000
0.1475 0.3525 0.7927
0.3525 0.8525 0.2073
0.6475 0.1475 0.2073
0.8525 0.6475 0.7927
0.1319 0.6319 0.0322
0.2092 0.7092 0.3756
0.2908 0.2092 0.6244
0.3681 0.1319 0.9678
0.6319 0.8681 0.9678
0.7092 0.7908 0.6244
0.7908 0.2908 0.3756
0.8681 0.3681 0.0322
0.0000 0.5000 0.0791
0.0000 0.5000 0.6643
0.0461 0.9077 0.6579
0.0658 0.8010 0.0932
0.0923 0.0461 0.3421
0.1224 0.6224 0.4467
0.1528 0.6528 0.9019
0.1990 0.0658 0.9068
0.3010 0.5658 0.0932
0.3472 0.1528 0.0981
0.3776 0.1224 0.5533
0.4077 0.5461 0.6579
0.4342 0.3010 0.9068
0.4539 0.4077 0.3421
0.5000 0.0000 0.3357
0.5000 0.0000 0.9209
0.5461 0.5923 0.3421
0.5658 0.6990 0.9068
0.5923 0.4539 0.6579
0.6224 0.8776 0.5533
0.6528 0.8472 0.0981
0.6990 0.4342 0.0932
0.8010 0.9342 0.9068
0.8472 0.3472 0.9019
0.8776 0.3776 0.4467
0.9077 0.9539 0.3421
0.9342 0.1990 0.0932
0.9539 0.0923 0.6579
```

Largest 10 diffraction maxima, by intensity, 2θ = 10–80°:
(2 1 2), 30.7 deg, I = 100.0; (1 0 1), 14.1 deg, I = 82.1; (1 1 1), 18.2 deg, I = 54.7; (1 1 2), 23.1 deg, I = 50.9; (2 1 0), 25.8 deg, I = 45.4; (3 1 0), 36.8 deg, I = 41.6; (2 1 3), 36.0 deg, I = 33.9; (2 0 2), 28.4 deg, I = 31.8; (2 2 1), 33.9 deg, I = 29.7; (2 1 5), 49.6 deg, I = 29.2